Structure and computed powder XRD pattern of Pm3Pr2Ho7 (the PBE geometry in Alexandria; Cu Kα X-rays).
Kinematic intensities with the Lorentz-polarization factor, no thermal factor.

Peak list (12 most intense, 10 to 90 degrees two-theta, sorted by position)
2θ (°)  d (Å)  intensity
28.34  3.149  24.9
30.46  2.935  29.1
30.66  2.916  23.8
30.76  2.907  34.8
31.00  2.884  100.0
31.29  2.859  26.7
31.54  2.837  43.6
33.09  2.707  32.6
34.47  2.602  29.6
37.28  2.412  21.9
60.58  1.528  22.7
61.09  1.517  24.1

Crystal structure
a = 5.842 Å, b = 3.591 Å, c = 18.925 Å
α = 90.00°, β = 93.21°, γ = 90.00°
Positions (direct):
Pm: 0.000 0.000 0.000
Pm: 0.278 0.500 0.631
Pm: 0.722 0.500 0.369
Pr: 0.208 0.000 0.292
Pr: 0.792 0.000 0.708
Ho: 0.188 0.500 0.141
Ho: 0.242 0.000 0.462
Ho: 0.311 0.000 0.829
Ho: 0.500 0.500 0.000
Ho: 0.689 0.000 0.171
Ho: 0.758 0.000 0.538
Ho: 0.812 0.500 0.859